Diffraction record for Na3Al2FeO6. The powder diffractogram is theoretical, not measured: it uses a cell relaxed with PBE+U and copper Kα.

Main lines, in order of rising 2θ (2θ = 10–80°):
Position (°2θ)  I/Imax  (hkl)
16.60  36  0 0 1
33.56  11  0 0 2
37.30  17  2 0 0
42.28  100  1 3 1
54.05  7  1 3 2
58.83  26  2 0 2
63.77  26  0 6 0
69.45  7  1 3 3
74.02  8  3 3 1
79.52  12  4 0 0

Crystal structure
```
data_Na3Al2FeO6
_chemical_formula_sum 'Na6 Al4 Fe2 O12'
_cell_length_a 5.056
_cell_length_b 8.756
_cell_length_c 5.600
_cell_angle_alpha 90.00
_cell_angle_beta 107.51
_cell_angle_gamma 90.00
_space_group_name_H-M_alt 'C 1 2/m 1'
_space_group_IT_number 12
loop_
_space_group_symop_operation_xyz
'x,y,z'
'-x,-y,-z'
'-x,y,-z'
'x,-y,z'
'x+1/2,y+1/2,z'
'-x+1/2,-y+1/2,-z'
'-x+1/2,y+1/2,-z'
'x+1/2,-y+1/2,z'
loop_
_atom_site_label
_atom_site_fract_x
_atom_site_fract_y
_atom_site_fract_z
Na1 0.000 0.000 0.000
Na2 0.000 0.335 0.000
Al1 0.000 0.167 0.500
Fe1 0.000 0.500 0.500
O1 0.223 0.000 0.690
O2 0.233 0.330 0.690
```

Diffraction record for Na4Al3FeO8. The powder diffractogram is theoretical, not measured: it uses a cell relaxed with PBE+U and copper Kα.

Main lines, in order of rising 2θ (2θ = 10–80°):
Position (°2θ)  I/Imax  (hkl)
20.32  35  0 1 -1
20.84  39  1 0 1
29.87  63  0 1 2
32.31  55  0 2 0
33.65  75  2 0 0
34.38  100  1 -1 2
45.60  25  2 -1 2
56.11  35  0 3 2
60.65  41  3 1 -2
67.04  27  2 -3 2

Crystal structure
```
data_Na4Al3FeO8
_chemical_formula_sum 'Na4 Al3 Fe1 O8'
_cell_length_a 5.327
_cell_length_b 5.542
_cell_length_c 7.107
_cell_angle_alpha 90.02
_cell_angle_beta 90.07
_cell_angle_gamma 90.04
_space_group_name_H-M_alt 'P 1'
_space_group_IT_number 1
loop_
_space_group_symop_operation_xyz
'x,y,z'
loop_
_atom_site_label
_atom_site_fract_x
_atom_site_fract_y
_atom_site_fract_z
Na1 0.000 0.000 0.000
Na2 0.002 0.509 0.739
Na3 0.495 0.152 0.239
Na4 0.499 0.647 0.488
Al1 0.486 0.637 0.995
Al2 0.981 0.011 0.486
Al3 0.987 0.512 0.243
Fe1 0.483 0.138 0.743
O1 0.057 0.703 0.439
O2 0.059 0.203 0.293
O3 0.133 0.105 0.697
O4 0.160 0.604 0.042
O5 0.558 0.471 0.787
O6 0.558 0.949 0.959
O7 0.652 0.034 0.524
O8 0.660 0.535 0.193
```

Diffraction record for Na6Al4FeSi8O26. The powder diffractogram is theoretical, not measured: it uses a cell relaxed with PBE+U and copper Kα.

Main lines, in order of rising 2θ (2θ = 10–80°):
Position (°2θ)  I/Imax  (hkl)
17.54  45  2 0 -2
21.94  61  0 2 0
22.15  53  3 1 0
24.40  100  1 1 2
24.76  58  4 0 -2
25.23  57  2 0 -3
28.23  49  2 2 -2
28.70  79  3 1 -3
28.87  69  2 2 1
34.06  54  4 2 0

Crystal structure
```
data_Na6Al4FeSi8O26
_chemical_formula_sum 'Na12 Al8 Fe2 Si16 O52'
_cell_length_a 15.175
_cell_length_b 8.101
_cell_length_c 10.614
_cell_angle_alpha 90.00
_cell_angle_beta 114.06
_cell_angle_gamma 90.00
_space_group_name_H-M_alt 'C 1 2/m 1'
_space_group_IT_number 12
loop_
_space_group_symop_operation_xyz
'x,y,z'
'-x,-y,-z'
'-x,y,-z'
'x,-y,z'
'x+1/2,y+1/2,z'
'-x+1/2,-y+1/2,-z'
'-x+1/2,y+1/2,-z'
'x+1/2,-y+1/2,z'
loop_
_atom_site_label
_atom_site_fract_x
_atom_site_fract_y
_atom_site_fract_z
Na1 0.034 0.000 0.337
Na2 0.150 0.500 0.383
Na3 0.230 0.000 0.937
Al1 0.057 0.302 0.842
Fe1 0.000 0.500 0.500
Si1 0.146 0.193 0.153
Si2 0.152 0.192 0.633
O1 0.030 0.500 0.776
O2 0.047 0.192 0.176
O3 0.100 0.318 0.510
O4 0.112 0.182 0.754
O5 0.141 0.000 0.568
O6 0.142 0.293 0.018
O7 0.180 0.000 0.140
O8 0.229 0.282 0.290
```

Diffraction record for Na6Al4FeSi8O26. The powder diffractogram is theoretical, not measured: it uses a cell relaxed with PBE+U and copper Kα.

Main lines, in order of rising 2θ (2θ = 10–80°):
Position (°2θ)  I/Imax  (hkl)
12.31  43  2 0 -1
22.03  61  0 2 0
24.20  100  1 1 2
24.76  59  4 0 -2
25.00  54  2 0 -3
28.24  42  2 2 -2
28.60  82  3 1 -3
28.84  76  2 2 1
31.76  41  5 1 -1
34.08  52  4 2 0

Crystal structure
```
data_Na6Al4FeSi8O26
_chemical_formula_sum 'Na12 Al8 Fe2 Si16 O52'
_cell_length_a 15.160
_cell_length_b 8.070
_cell_length_c 10.714
_cell_angle_alpha 90.00
_cell_angle_beta 113.70
_cell_angle_gamma 90.00
_space_group_name_H-M_alt 'C 1 2 1'
_space_group_IT_number 5
loop_
_space_group_symop_operation_xyz
'x,y,z'
'-x,y,-z'
'x+1/2,y+1/2,z'
'-x+1/2,y+1/2,-z'
loop_
_atom_site_label
_atom_site_fract_x
_atom_site_fract_y
_atom_site_fract_z
Na1 0.036 0.000 0.337
Na2 0.154 0.485 0.385
Na3 0.231 0.997 0.943
Al1 0.058 0.296 0.846
Al2 0.146 0.793 0.152
Fe1 0.000 0.474 0.500
Si1 0.058 0.688 0.844
Si2 0.148 0.187 0.151
Si3 0.150 0.788 0.635
Si4 0.151 0.173 0.634
O1 0.032 0.500 0.786
O2 0.039 0.792 0.178
O3 0.050 0.194 0.177
O4 0.100 0.297 0.508
O5 0.102 0.652 0.520
O6 0.108 0.176 0.753
O7 0.108 0.793 0.756
O8 0.129 0.978 0.569
O9 0.137 0.690 0.002
O10 0.143 0.292 0.017
O11 0.181 0.998 0.137
O12 0.232 0.278 0.287
O13 0.232 0.686 0.292
```

Diffraction record for Na2AlFeSi4O12. The powder diffractogram is theoretical, not measured: it uses a cell relaxed with PBE+U and copper Kα.

Main lines, in order of rising 2θ (2θ = 10–80°):
Position (°2θ)  I/Imax  (hkl)
13.94  24  1 1 0
19.94  19  1 1 -1
20.24  20  0 2 0
29.86  100  2 2 -1
30.85  58  3 1 0
35.25  22  1 3 -1
35.34  38  0 0 2
36.39  34  2 2 1
42.66  21  3 3 -1
57.15  18  5 3 -1

Crystal structure
```
data_Na2AlFeSi4O12
_chemical_formula_sum 'Na4 Al2 Fe2 Si8 O24'
_cell_length_a 9.672
_cell_length_b 8.777
_cell_length_c 5.336
_cell_angle_alpha 90.00
_cell_angle_beta 107.82
_cell_angle_gamma 90.00
_space_group_name_H-M_alt 'C 1 2 1'
_space_group_IT_number 5
loop_
_space_group_symop_operation_xyz
'x,y,z'
'-x,y,-z'
'x+1/2,y+1/2,z'
'-x+1/2,y+1/2,-z'
loop_
_atom_site_label
_atom_site_fract_x
_atom_site_fract_y
_atom_site_fract_z
Na1 0.000 0.000 0.000
Na2 0.000 0.402 0.500
Al1 0.000 0.601 0.000
Fe1 0.000 0.798 0.500
Si1 0.209 0.293 0.017
Si2 0.212 0.111 0.523
O1 0.110 0.620 0.368
O2 0.113 0.775 0.895
O3 0.136 0.460 0.954
O4 0.144 0.942 0.455
O5 0.145 0.194 0.738
O6 0.152 0.207 0.243
```